No. 1
For Sr2Co2O5, a DFT-relaxed cell (GGA+U, the Materials Project) gives the theoretical X-ray powder pattern in this record (CuKα).
No peak broadening, texture or thermal motion is included.

Cell and atoms:
Unit cell a=5.430 b=5.560 c=8.944 alpha=107.50 beta=107.21 gamma=91.47
Space group P1 (No. 1)
One atom of each set of equivalent atoms:
Sr 0.000 0.000 0.000 [1 per cell]
Sr 0.223 0.247 0.445 [1 per cell]
Sr 0.499 0.523 0.000 [1 per cell]
Sr 0.725 0.724 0.446 [1 per cell]
Co 0.109 0.624 0.224 [1 per cell]
Co 0.396 0.938 0.724 [1 per cell]
Co 0.609 0.123 0.223 [1 per cell]
Co 0.896 0.308 0.721 [1 per cell]
O 0.239 0.730 0.513 [1 per cell]
O 0.250 0.252 0.723 [1 per cell]
O 0.347 0.380 0.213 [1 per cell]
O 0.372 0.885 0.232 [1 per cell]
O 0.458 0.952 0.942 [1 per cell]
O 0.739 0.297 0.504 [1 per cell]
O 0.750 0.988 0.723 [1 per cell]
O 0.849 0.359 0.214 [1 per cell]
O 0.874 0.870 0.233 [1 per cell]
O 0.951 0.516 0.931 [1 per cell]

Largest 6 diffraction maxima, by intensity, 2θ = 10–90°:
| 2θ/deg | I_rel | index |
| --- | --- | --- |
| 32.2 | 100 | 0 2 -1 |
| 31.7 | 63 | 1 -1 2 |
| 33.0 | 42 | 2 0 -1 |
| 44.8 | 21 | 0 0 4 |
| 46.1 | 20 | 2 -2 0 |
| 47.4 | 18 | 2 2 -2 |

=====

No. 2
For LiVF3, a DFT-relaxed cell (GGA+U, the Materials Project) gives the theoretical X-ray powder pattern in this record (CuKα).
No peak broadening, texture or thermal motion is included.

Cell and atoms:
Unit cell a=5.3549 b=5.3549 c=14.2849 alpha=90.00 beta=90.00 gamma=120.00
Space group R-3 (No. 148, hexagonal axes)
One atom of each set of equivalent atoms:
Li 0.0000 0.0000 0.1386 [6 per cell]
V 0.0000 0.0000 0.3441 [6 per cell]
F 0.0035 0.3119 0.7496 [18 per cell]

Largest 6 diffraction maxima, by intensity, 2θ = 10–90°:
| 2θ/deg | I_rel | index |
| --- | --- | --- |
| 38.6 | 100 | 2 -1 3 |
| 18.6 | 53 | 0 0 3 |
| 51.4 | 52 | 2 -1 6 |
| 20.1 | 38 | 1 0 1 |
| 22.9 | 30 | 0 1 2 |
| 59.8 | 30 | 3 0 0 |

=====

No. 3
For Li9Mn2Co5O16, a DFT-relaxed cell (GGA+U, the Materials Project) gives the theoretical X-ray powder pattern in this record (CuKα).
No peak broadening, texture or thermal motion is included.

Cell and atoms:
Unit cell a=5.109 b=5.909 c=10.048 alpha=104.54 beta=100.41 gamma=90.92
Space group P1 (No. 1)
One atom of each set of equivalent atoms:
Li 0.000 0.000 0.000 [1 per cell]
Li 0.000 0.492 0.996 [1 per cell]
Li 0.244 0.861 0.243 [1 per cell]
Li 0.264 0.368 0.241 [1 per cell]
Li 0.501 0.744 0.498 [1 per cell]
Li 0.511 0.239 0.493 [1 per cell]
Li 0.747 0.629 0.755 [1 per cell]
Li 0.749 0.621 0.246 [1 per cell]
Li 0.754 0.122 0.751 [1 per cell]
Mn 0.003 0.487 0.492 [1 per cell]
Mn 0.005 0.987 0.494 [1 per cell]
Co 0.249 0.870 0.747 [1 per cell]
Co 0.258 0.371 0.749 [1 per cell]
Co 0.501 0.745 0.006 [1 per cell]
Co 0.507 0.255 0.003 [1 per cell]
Co 0.756 0.115 0.247 [1 per cell]
O 0.108 0.154 0.368 [1 per cell]
O 0.119 0.697 0.389 [1 per cell]
O 0.140 0.687 0.861 [1 per cell]
O 0.146 0.198 0.874 [1 per cell]
O 0.353 0.047 0.625 [1 per cell]
O 0.361 0.536 0.620 [1 per cell]
O 0.373 0.562 0.112 [1 per cell]
O 0.406 0.061 0.129 [1 per cell]
O 0.590 0.930 0.872 [1 per cell]
O 0.620 0.443 0.879 [1 per cell]
O 0.660 0.402 0.365 [1 per cell]
O 0.662 0.945 0.372 [1 per cell]
O 0.850 0.289 0.126 [1 per cell]
O 0.853 0.842 0.131 [1 per cell]
O 0.898 0.821 0.623 [1 per cell]
O 0.902 0.284 0.608 [1 per cell]

Largest 6 diffraction maxima, by intensity, 2θ = 10–90°:
| 2θ/deg | I_rel | index |
| --- | --- | --- |
| 18.3 | 100 | 1 0 -1 |
| 42.3 | 29 | -1 2 2 |
| 43.9 | 27 | 2 0 2 |
| 44.3 | 26 | 1 2 -4 |
| 35.1 | 16 | 0 2 1 |
| 62.6 | 15 | 1 2 4 |

=====

No. 4
For Li2Co3SbO8, a DFT-relaxed cell (GGA+U, the Materials Project) gives the theoretical X-ray powder pattern in this record (CuKα).
No peak broadening, texture or thermal motion is included.

Cell and atoms:
Unit cell a=5.7897 b=5.7897 c=14.5329 alpha=90.00 beta=90.00 gamma=120.00
Space group R-3m (No. 166, hexagonal axes)
One atom of each set of equivalent atoms:
Li 0.0000 0.0000 0.1261 [6 per cell]
Co 0.0000 0.5000 0.0000 [9 per cell]
Sb 0.0000 0.0000 0.5000 [3 per cell]
O 0.0000 0.0000 0.2660 [6 per cell]
O 0.0282 0.5141 0.2573 [18 per cell]

Largest 6 diffraction maxima, by intensity, 2θ = 10–90°:
| 2θ/deg | I_rel | index |
| --- | --- | --- |
| 18.7 | 100 | 1 0 1 |
| 43.9 | 51 | 0 2 4 |
| 36.1 | 35 | 1 1 3 |
| 35.7 | 19 | 0 1 5 |
| 63.2 | 16 | 2 0 8 |
| 64.4 | 15 | 2 2 0 |

=====

No. 5
For Li9Mn7O16, a DFT-relaxed cell (GGA+U, the Materials Project) gives the theoretical X-ray powder pattern in this record (CuKα).
No peak broadening, texture or thermal motion is included.

Cell and atoms:
Unit cell a=5.286 b=6.068 c=10.120 alpha=86.64 beta=78.18 gamma=69.57
Space group P-1 (No. 2)
One atom of each set of equivalent atoms:
Li 0.000 0.000 0.000 [1 per cell]
Li 0.494 0.633 0.879 [2 per cell]
Li 0.496 0.118 0.879 [2 per cell]
Li 0.497 0.373 0.625 [2 per cell]
Li 0.499 0.877 0.626 [2 per cell]
Mn 0.000 0.000 0.500 [1 per cell]
Mn 0.000 0.500 0.000 [1 per cell]
Mn 0.000 0.500 0.500 [1 per cell]
Mn 0.003 0.250 0.754 [2 per cell]
Mn 0.004 0.757 0.754 [2 per cell]
O 0.209 0.668 0.065 [2 per cell]
O 0.219 0.448 0.316 [2 per cell]
O 0.226 0.946 0.806 [2 per cell]
O 0.230 0.707 0.570 [2 per cell]
O 0.231 0.206 0.068 [2 per cell]
O 0.232 0.208 0.568 [2 per cell]
O 0.235 0.955 0.316 [2 per cell]
O 0.237 0.459 0.822 [2 per cell]

Largest 6 diffraction maxima, by intensity, 2θ = 10–90°:
| 2θ/deg | I_rel | index |
| --- | --- | --- |
| 18.3 | 100 | 1 0 0 |
| 44.2 | 54 | 1 0 -4 |
| 40.7 | 35 | 2 2 2 |
| 36.2 | 24 | 0 2 -2 |
| 33.8 | 18 | 1 2 2 |
| 58.3 | 9 | 2 0 -4 |

=====

No. 6
For LiMn2P2HO9, a DFT-relaxed cell (GGA+U, the Materials Project) gives the theoretical X-ray powder pattern in this record (CuKα).
No peak broadening, texture or thermal motion is included.

Cell and atoms:
Unit cell a=6.163 b=6.840 c=8.931 alpha=90.00 beta=107.29 gamma=90.00
Space group P2_1/m (No. 11)
One atom of each set of equivalent atoms:
Li 0.011 0.250 0.354 [2 per cell]
Mn 0.472 0.250 0.793 [2 per cell]
Mn 0.500 0.000 0.500 [2 per cell]
P 0.095 0.750 0.304 [2 per cell]
P 0.442 0.250 0.163 [2 per cell]
H 0.072 0.250 0.013 [2 per cell]
O 0.159 0.250 0.778 [2 per cell]
O 0.164 0.562 0.407 [4 per cell]
O 0.169 0.250 0.123 [2 per cell]
O 0.202 0.750 0.167 [2 per cell]
O 0.413 0.250 0.560 [2 per cell]
O 0.472 0.569 0.735 [4 per cell]
O 0.472 0.750 0.980 [2 per cell]

Largest 6 diffraction maxima, by intensity, 2θ = 10–90°:
| 2θ/deg | I_rel | index |
| --- | --- | --- |
| 15.1 | 100 | 1 0 0 |
| 16.6 | 44 | 0 1 1 |
| 33.6 | 37 | 0 2 2 |
| 28.1 | 37 | 0 2 1 |
| 30.6 | 28 | 1 0 -3 |
| 30.4 | 25 | 2 0 0 |